[1]
For Pr2Nd2Se3, DFT lattice parameters and positions (PBE) gives the calculated PXRD pattern in this record (Cu Kα, 1.54184 Å).
Neutral-atom scattering factors, no anomalous dispersion.

Principal peaks in the range 10 to 90 degrees two-theta, by intensity:
d (Å), 2θ/deg, Rel. int.
2.961, 30.2, 100
2.099, 43.1, 56
2.972, 30.1, 51
2.095, 43.2, 37
1.710, 53.6, 30
1.326, 71.1, 25
3.427, 26.0, 24
3.418, 26.1, 24

Structure:
```
Pr2Nd2Se3
1.0
4.179 0.000 0.000
-2.088 6.950 0.000
-0.004 -1.269 7.175
Pr Nd Se
2 2 3
direct
0.124 0.247 0.379
0.876 0.753 0.621
0.373 0.747 0.124
0.627 0.253 0.876
0.000 0.000 0.000
0.252 0.505 0.752
0.748 0.495 0.248
```


[2]
For Pr2Nd3Se6, DFT lattice parameters and positions (PBE) gives the calculated PXRD pattern in this record (Cu Kα, 1.54184 Å).
Neutral-atom scattering factors, no anomalous dispersion.

Principal peaks in the range 10 to 90 degrees two-theta, by intensity:
d (Å), 2θ/deg, Rel. int.
2.990, 29.9, 100
2.117, 42.7, 37
2.111, 42.8, 37
1.725, 53.1, 20
1.338, 70.3, 17
1.336, 70.5, 17
1.220, 78.4, 12
1.495, 62.1, 12

Structure:
```
Pr2Nd3Se6
1.0
3.671 -6.334 0.000
3.671 6.334 0.000
-2.438 0.000 6.896
Pr Nd Se
2 3 6
direct
0.165 0.835 0.000
0.835 0.165 0.000
0.000 0.000 0.500
0.336 0.664 0.500
0.664 0.336 0.500
0.086 0.416 0.749
0.254 0.254 0.246
0.416 0.086 0.749
0.584 0.914 0.251
0.746 0.746 0.754
0.914 0.584 0.251
```